Entry 1:
# Ho2Ga9Co3
Calculated powder XRD pattern, Cu Ka. Input: a DFT-relaxed cell (PBE, Alexandria).

Main lines, low angle first (2θ from 10° to 80°):
d_spacing, Rel. int.
3.425, 13
2.385, 100
2.349, 16
2.333, 16
2.126, 46
2.119, 23
1.585, 11
1.273, 11
1.271, 11
1.268, 11

Atomic structure:
```
Ho2Ga9Co3
1.0
6.356 -3.687 0.000
6.356 3.687 0.000
0.000 0.000 9.398
Ho Ga Co
4 18 6
Cartesian
4.266 2.455 7.048
8.446 2.455 7.048
4.266 -2.455 2.349
8.446 -2.455 2.349
2.125 1.231 5.377
2.125 1.231 8.720
10.588 -1.231 0.678
10.588 -1.231 4.021
6.356 2.796 2.349
6.356 1.229 5.246
6.356 1.229 8.850
2.125 -1.231 0.678
2.125 -1.231 4.021
4.995 0.416 2.349
4.995 -0.416 7.048
7.718 0.416 2.349
7.718 -0.416 7.048
10.588 1.231 5.377
10.588 1.231 8.720
6.356 -1.229 0.548
6.356 -1.229 4.151
6.356 -2.796 7.048
0.000 0.000 0.000
0.000 0.000 4.699
4.183 0.000 0.000
4.183 0.000 4.699
8.529 0.000 0.000
8.529 0.000 4.699
```

=====

Entry 2:
# Ho3Ga5Co6
Calculated powder XRD pattern, Cu Ka. Input: a DFT-relaxed cell (PBE, Alexandria).

Main lines, low angle first (2θ from 10° to 80°):
d_spacing, Rel. int.
3.693, 18
2.900, 31
2.422, 100
2.395, 46
2.381, 26
2.067, 52
2.033, 20
1.562, 14
1.550, 14
1.450, 13

Atomic structure:
```
Ho3Ga5Co6
1.0
4.136 0.000 0.000
0.000 12.200 0.000
0.000 0.000 8.813
Ho Ga Co
6 10 12
Cartesian
1.034 0.830 2.193
1.034 5.270 2.193
1.034 9.150 1.920
3.102 3.050 6.893
3.102 6.930 6.621
3.102 11.371 6.621
1.034 1.085 7.622
1.034 5.015 7.622
1.034 7.765 4.529
1.034 9.150 7.385
1.034 10.535 4.529
3.102 1.665 4.284
3.102 3.050 1.429
3.102 4.435 4.284
3.102 7.185 1.191
3.102 11.116 1.191
1.034 0.682 5.165
1.034 3.050 0.198
1.034 3.050 4.849
1.034 5.418 5.165
1.034 7.136 8.731
1.034 11.164 8.731
3.102 1.036 0.082
3.102 5.064 0.082
3.102 6.783 3.649
3.102 9.150 3.964
3.102 9.150 8.616
3.102 11.518 3.649
```

=====

Entry 3:
# La6GaCo2I3
Calculated powder XRD pattern, Cu Ka. Input: a DFT-relaxed cell (PBE, Alexandria).

Main lines, low angle first (2θ from 10° to 80°):
d_spacing, Rel. int.
3.186, 57
3.147, 100
2.957, 14
2.942, 22
2.721, 19
2.356, 43
2.139, 38
2.112, 18
1.760, 17
1.684, 12

Atomic structure:
```
La6GaCo2I3
1.0
3.722 -6.337 0.000
3.722 6.337 0.000
-2.515 0.000 8.162
La Ga Co I
6 1 2 3
Cartesian
-0.077 2.305 6.617
1.025 0.000 1.517
-0.077 -2.305 6.617
5.006 2.305 1.545
3.905 0.000 6.645
5.006 -2.305 1.545
3.722 0.000 0.000
3.722 4.228 0.000
3.722 -4.228 0.000
-1.257 0.000 4.081
2.465 2.028 4.081
2.465 -2.028 4.081
```

=====

Entry 4:
# InGa2CoTc
Calculated powder XRD pattern, Cu Ka. Input: a DFT-relaxed cell (PBE, Alexandria).

Main lines, low angle first (2θ from 10° to 80°):
d_spacing, Rel. int.
5.013, 20
3.545, 25
3.454, 63
2.845, 58
2.507, 100
2.383, 43
2.029, 28
1.772, 34
1.727, 63
1.422, 32

Atomic structure:
```
InGa2CoTc
1.0
5.013 0.000 0.000
0.000 5.013 0.000
0.000 0.000 4.767
In Ga Co Tc
1 2 1 1
Cartesian
0.000 0.000 0.000
0.000 2.507 0.000
2.507 0.000 0.000
0.000 0.000 2.383
2.507 2.507 2.383
```

=====

Entry 5:
# Ga4Co3Ir
Calculated powder XRD pattern, Cu Ka. Input: a DFT-relaxed cell (PBE, Alexandria).

Main lines, low angle first (2θ from 10° to 80°):
d_spacing, Rel. int.
5.869, 6
3.914, 13
2.847, 6
2.626, 6
2.076, 100
2.044, 2
1.957, 3
1.834, 3
1.677, 3
1.468, 16

Atomic structure:
```
Ga4Co3Ir
1.0
-2.076 2.076 5.869
2.076 -2.076 5.869
2.076 2.076 -5.869
Ga Co Ir
4 3 1
Cartesian
2.076 0.000 1.534
2.076 0.000 4.335
0.000 2.076 1.534
0.000 2.076 4.335
0.000 0.000 0.000
0.000 0.000 2.935
0.000 0.000 8.803
0.000 0.000 5.869
```

=====

Entry 6:
# ScGa4CoIr2
Calculated powder XRD pattern, Cu Ka. Input: a DFT-relaxed cell (PBE, Alexandria).

Main lines, low angle first (2θ from 10° to 80°):
d_spacing, Rel. int.
7.891, 22
3.946, 27
3.486, 40
3.106, 19
2.298, 100
2.106, 100
1.858, 22
1.854, 19
1.553, 29
1.250, 28

Atomic structure:
```
ScGa4CoIr2
1.0
2.106 1.216 7.891
-2.106 1.216 7.891
0.000 -2.432 7.891
Sc Ga Co Ir
1 4 1 2
Cartesian
0.000 0.000 0.000
0.000 0.000 3.130
0.000 0.000 9.298
0.000 0.000 14.376
0.000 0.000 20.545
0.000 0.000 11.837
0.000 0.000 5.731
0.000 0.000 17.943
```